1.
Computed powder X-ray diffraction pattern
Compound: Y2TlPtO5
Radiation: CuKα
Structure: a structure optimized by DFT (PBE)
Intensities are scaled so that the largest is 1000.

```
18
Lattice="6.657 0.000 0.000 0.000 6.657 0.000 0.000 0.000 5.862" Properties=species:S:1:pos:R:3 pbc="T T T"
Y 1.163 2.165 0.000
Y 2.165 5.493 0.000
Y 4.492 1.163 0.000
Y 5.493 4.492 0.000
Tl 0.000 0.000 2.931
Tl 3.328 3.328 2.931
Pt 0.000 3.328 2.931
Pt 3.328 0.000 2.931
O 0.000 0.000 0.000
O 0.886 4.214 1.363
O 0.886 4.214 4.499
O 2.443 0.886 1.363
O 2.443 0.886 4.499
O 3.328 3.328 0.000
O 4.214 5.771 1.363
O 4.214 5.771 4.499
O 5.771 2.443 1.363
O 5.771 2.443 4.499
```

Largest 10 diffraction maxima, in order of rising 2θ, 2θ = 10–80°:
| 2θ/deg | intensity | hkl |
| --- | --- | --- |
| 15.11 | 179 | 0 0 1 |
| 26.78 | 267 | 2 0 0 |
| 30.50 | 306 | 0 0 2 |
| 30.89 | 1000 | 2 0 1 |
| 38.24 | 271 | 2 2 0 |
| 41.03 | 192 | 2 0 2 |
| 41.34 | 195 | 2 2 1 |
| 49.68 | 255 | 2 2 2 |
| 54.45 | 206 | 2 0 3 |
| 71.02 | 152 | 4 2 2 |

***

2.
Computed powder X-ray diffraction pattern
Compound: TmZnPtO6
Radiation: CuKα
Structure: a structure optimized by DFT (PBE)
Intensities are scaled so that the largest is 1000.

```
18
Lattice="5.428 0.000 0.000 -2.714 4.701 0.000 0.000 0.000 8.514" Properties=species:S:1:pos:R:3 pbc="T T T"
Tm 0.000 3.134 2.129
Tm 2.714 1.567 6.386
Zn 0.000 0.000 0.000
Zn 0.000 0.000 4.257
Pt 0.000 3.134 6.386
Pt 2.714 1.567 2.129
O -0.801 1.702 5.288
O -1.640 3.156 7.483
O 0.801 1.702 7.483
O -0.839 4.543 5.288
O 1.875 0.157 1.031
O 1.074 1.545 3.226
O 1.640 3.156 5.288
O 0.839 4.543 7.483
O 3.553 0.157 3.226
O 1.913 2.998 1.031
O 4.354 1.545 1.031
O 3.515 2.998 3.226
```

Largest 10 diffraction maxima, in order of rising 2θ, 2θ = 10–80°:
| 2θ/deg | intensity | hkl |
| --- | --- | --- |
| 18.88 | 265 | 1 0 0 |
| 20.87 | 438 | 0 0 2 |
| 28.28 | 1000 | 1 0 2 |
| 33.01 | 775 | 1 1 0 |
| 39.37 | 598 | 1 1 2 |
| 44.01 | 304 | 2 0 2 |
| 54.81 | 559 | 2 -1 4 |
| 56.09 | 296 | 2 1 2 |
| 58.95 | 255 | 3 0 0 |
| 69.20 | 178 | 2 2 0 |